Record 1
Theoretical PXRD pattern
Compound: AlV4H
Radiation: copper Kα
Structure: a crystal structure in Alexandria, relaxed with GGA-PBE
Neutral-atom scattering factors, no anomalous dispersion.

Top 10 peaks for 2θ from 10° to 90°, by angle:
- hkl 0 2 -2, 40.50°, rel. 53
- hkl 2 0 -1, 41.24°, rel. 51
- hkl 1 0 2, 41.51°, rel. 100
- hkl 1 2 0, 43.18°, rel. 47
- hkl 1 0 -3, 43.62°, rel. 44
- hkl 2 -2 1, 56.16°, rel. 17
- hkl 2 2 -3, 62.11°, rel. 13
- hkl 0 2 3, 63.99°, rel. 13
- hkl 3 0 1, 73.84°, rel. 8
- hkl 0 4 1, 78.27°, rel. 12

Crystal structure
```
data_AlV4H
_chemical_formula_sum 'Al2 V8 H2'
_space_group_name_H-M_alt 'P -1'
_space_group_IT_number 2
_space_group_name_Hall '-P 1'
_cell_length_a 4.397
_cell_length_b 5.351
_cell_length_c 6.461
_cell_angle_alpha 100.69
_cell_angle_beta 105.79
_cell_angle_gamma 94.16
loop_
_atom_site_label
_atom_site_fract_x
_atom_site_fract_y
_atom_site_fract_z
Al1 0.179 0.170 0.391
V1 0.021 0.235 0.990
V2 0.216 0.663 0.391
V3 0.372 0.568 0.781
V4 0.411 0.059 0.798
H1 0.316 0.608 0.106
```

---

Record 2
Theoretical PXRD pattern
Compound: Al3V6H
Radiation: copper Kα
Structure: a crystal structure in Alexandria, relaxed with GGA-PBE
Neutral-atom scattering factors, no anomalous dispersion.

Top 10 peaks for 2θ from 10° to 90°, by angle:
- hkl 1 1 0, 21.34°, rel. 36
- hkl 0 0 2, 32.29°, rel. 33
- hkl 2 0 -3, 37.42°, rel. 57
- hkl 2 2 -1, 40.16°, rel. 85
- hkl 4 0 -1, 40.52°, rel. 83
- hkl 4 0 -3, 40.65°, rel. 35
- hkl 3 1 -3, 41.21°, rel. 25
- hkl 2 2 0, 43.48°, rel. 100
- hkl 1 1 2, 45.61°, rel. 52
- hkl 0 2 2, 48.69°, rel. 31

Crystal structure
```
data_Al3V6H
_chemical_formula_sum 'Al6 V12 H2'
_space_group_name_H-M_alt 'C 1 2/m 1'
_space_group_IT_number 12
_space_group_name_Hall '-C 2y'
_cell_length_a 9.704
_cell_length_b 5.066
_cell_length_c 7.353
_cell_angle_alpha 90.00
_cell_angle_beta 131.05
_cell_angle_gamma 90.00
loop_
_atom_site_label
_atom_site_fract_x
_atom_site_fract_y
_atom_site_fract_z
Al1 0.000 0.000 0.000
Al2 0.033 0.500 0.213
V1 0.126 0.000 0.413
V2 0.200 0.230 0.778
H1 0.000 0.000 0.500
```